Entry 1:
Theoretical powder diffraction line list of Tb5Ce2Dy12 for Cu Kα (weighted mean of Kα1 and Kα2), from the GGA-PBE geometry in Alexandria.

Structure:
Cell: 6.1729 10.0965 10.5015 Å, 67.03 84.53 87.59°
Sites, in units of the cell vectors:
Tb: 0.0000 0.0000 0.0000
Tb: 0.0963 0.9976 0.3357
Tb: 0.4286 0.5047 0.1658
Tb: 0.5714 0.4953 0.8342
Tb: 0.9037 0.0024 0.6643
Ce: 0.3013 0.5171 0.4585
Ce: 0.6987 0.4829 0.5415
Dy: 0.0502 0.3008 0.7358
Dy: 0.0826 0.6736 0.6531
Dy: 0.1120 0.3284 0.0303
Dy: 0.3875 0.8287 0.8330
Dy: 0.4042 0.1670 0.5053
Dy: 0.4729 0.8471 0.1606
Dy: 0.5271 0.1529 0.8394
Dy: 0.5958 0.8330 0.4947
Dy: 0.6125 0.1713 0.1670
Dy: 0.8880 0.6716 0.9697
Dy: 0.9174 0.3264 0.3469
Dy: 0.9498 0.6992 0.2642

Most intense lines, 10 to 90 degrees two-theta, low angle first:
(1 0 3), 2θ = 30.28°, I = 45
(0 3 3), 2θ = 31.38°, I = 100
(-2 1 1), 2θ = 31.74°, I = 35
(1 3 0), 2θ = 32.29°, I = 72
(1 -3 0), 2θ = 32.43°, I = 73
(1 0 -3), 2θ = 32.55°, I = 69


Entry 2:
Theoretical powder diffraction line list of Ca2ZnF6 for Cu Kα (weighted mean of Kα1 and Kα2), from the GGA-PBE geometry in Alexandria.

Structure:
Cell: 5.5784 5.8244 9.2510 Å, 90.00 118.87 90.00°
Sites, in units of the cell vectors:
Ca: 0.1879 0.0860 0.2282
Ca: 0.1879 0.4140 0.7282
Ca: 0.8121 0.5860 0.2718
Ca: 0.8121 0.9140 0.7718
Zn: 0.5000 0.0000 0.0000
Zn: 0.5000 0.5000 0.5000
F: 0.1491 0.1750 0.9481
F: 0.1491 0.3250 0.4481
F: 0.2270 0.7198 0.8912
F: 0.2270 0.7802 0.3912
F: 0.4540 0.0958 0.7804
F: 0.4540 0.4042 0.2804
F: 0.5460 0.5958 0.7196
F: 0.5460 0.9042 0.2196
F: 0.7730 0.2198 0.6088
F: 0.7730 0.2802 0.1088
F: 0.8509 0.6750 0.5519
F: 0.8509 0.8250 0.0519

Most intense lines, 10 to 90 degrees two-theta, low angle first:
(0 1 1), 2θ = 18.76°, I = 100
(1 0 -2), 2θ = 20.65°, I = 31
(1 1 1), 2θ = 29.77°, I = 47
(1 1 -3), 2θ = 32.95°, I = 34
(1 2 0), 2θ = 35.92°, I = 20
(2 1 -1), 2θ = 36.33°, I = 33